No. 1
Pm2FeB10: computed powder X-ray diffraction pattern (λ = 1.5418 Å (Cu Kα)), based on a structure optimized by DFT (PBE).
Intensities are scaled so that the largest is 100.

```
Pm2FeB10
1.0
5.6296 0.0000 0.0000
0.0000 11.2046 0.0000
0.0000 0.0000 4.1840
Pm Fe B
4 2 20
Cartesian
1.1816 1.4720 0.0000 Pm
1.6332 7.0743 0.0000 Pm
3.9965 4.1304 0.0000 Pm
4.4480 9.7327 0.0000 Pm
0.0000 5.6023 2.0920 Fe
2.8148 0.0000 2.0920 Fe
0.1955 3.5156 2.0920 B
0.7229 10.7597 2.0920 B
0.8690 8.9893 2.0920 B
1.1465 4.3355 0.8443 B
1.1465 4.3355 3.3397 B
1.6683 9.9378 0.8443 B
1.6683 9.9378 3.3397 B
1.9458 3.3870 2.0920 B
2.0919 5.1574 2.0920 B
2.6193 9.1179 2.0920 B
3.0103 2.0867 2.0920 B
3.5377 6.0473 2.0920 B
3.6838 7.8176 2.0920 B
3.9613 1.2668 0.8443 B
3.9613 1.2668 3.3397 B
4.4831 6.8691 0.8443 B
4.4831 6.8691 3.3397 B
4.7607 2.2153 2.0920 B
4.9067 0.4449 2.0920 B
5.4341 7.6890 2.0920 B
```

Main lines, by intensity (10° ≤ 2θ ≤ 90°):
- 2θ = 31.05°, I = 100
- 2θ = 22.39°, I = 69
- 2θ = 38.68°, I = 44
- 2θ = 38.55°, I = 36
- 2θ = 49.23°, I = 34
- 2θ = 21.24°, I = 26
- 2θ = 45.69°, I = 22
- 2θ = 31.95°, I = 17
- 2θ = 43.25°, I = 16
- 2θ = 27.73°, I = 15

No. 2
Pm12RuPt6: computed powder X-ray diffraction pattern (λ = 1.5418 Å (Cu Kα)), based on a structure optimized by DFT (PBE).
Intensities are scaled so that the largest is 100.

```
Pm12RuPt6
1.0
6.3744 3.6803 4.0350
-6.3744 3.6803 4.0350
0.0000 -7.3606 4.0350
Pm Ru Pt
12 1 6
Cartesian
-5.6369 -1.4307 6.6681 Pm
-1.5795 -5.5970 5.4369 Pm
-2.5865 -0.3057 4.7804 Pm
-4.0574 4.1664 5.4369 Pm
-1.0285 -2.3928 7.3246 Pm
1.5580 -2.0871 4.7804 Pm
-1.5580 2.0871 7.3246 Pm
1.0285 2.3928 4.7804 Pm
4.0574 -4.1664 6.6681 Pm
2.5865 0.3057 7.3246 Pm
1.5795 5.5970 6.6681 Pm
5.6369 1.4307 5.4369 Pm
0.0000 0.0000 0.0000 Ru
-1.1139 -2.9172 4.2803 Pt
-1.9694 2.4233 4.2803 Pt
-3.0834 -0.4939 7.8247 Pt
3.0833 0.4939 4.2803 Pt
1.9694 -2.4233 7.8247 Pt
1.1139 2.9172 7.8247 Pt
```

Main lines, by intensity (10° ≤ 2θ ≤ 90°):
- 2θ = 37.32°, I = 100
- 2θ = 36.68°, I = 95
- 2θ = 22.54°, I = 90
- 2θ = 32.78°, I = 37
- 2θ = 30.63°, I = 33
- 2θ = 53.33°, I = 24
- 2θ = 22.03°, I = 22
- 2θ = 43.76°, I = 17
- 2θ = 43.20°, I = 16
- 2θ = 44.04°, I = 16

No. 3
Cd4SiO6: computed powder X-ray diffraction pattern (λ = 1.5418 Å (Cu Kα)), based on a structure optimized by DFT (PBE).
Intensities are scaled so that the largest is 100.

```
Cd4SiO6
1.0
5.4789 -3.0362 0.0000
5.4789 3.0362 0.0000
-4.2864 0.0000 10.2484
Cd Si O
8 2 12
Cartesian
-1.3649 0.6954 8.4030 Cd
3.3357 2.3867 5.1242 Cd
3.4803 1.1619 1.6217 Cd
0.7783 -0.6954 3.2788 Cd
7.1796 0.6862 0.1395 Cd
1.3371 -1.1619 6.7459 Cd
5.0364 -0.6862 5.2637 Cd
5.4789 -2.3867 0.0000 Cd
1.5933 1.6947 7.7504 Si
3.7365 -1.6947 2.6262 Si
1.5710 1.4780 6.0974 O
5.5919 1.7746 1.2269 O
3.1113 1.7124 8.3837 O
0.8279 0.3494 8.3737 O
5.3697 1.4800 5.1121 O
2.9711 -0.3494 3.2495 O
3.7142 -1.4780 0.9732 O
3.4487 -1.7746 6.3511 O
6.2662 0.0545 8.1186 O
5.2545 -1.7124 3.2595 O
8.4094 -0.0545 2.9944 O
3.2265 -1.4800 10.2363 O
```

Main lines, by intensity (10° ≤ 2θ ≤ 90°):
- 2θ = 29.43°, I = 100
- 2θ = 30.71°, I = 98
- 2θ = 28.56°, I = 68
- 2θ = 26.73°, I = 59
- 2θ = 29.22°, I = 54
- 2θ = 32.52°, I = 50
- 2θ = 34.14°, I = 48
- 2θ = 35.49°, I = 43
- 2θ = 28.26°, I = 40
- 2θ = 39.12°, I = 32

No. 4
K14Hg6O3: computed powder X-ray diffraction pattern (λ = 1.5418 Å (Cu Kα)), based on a structure optimized by DFT (PBE).
Intensities are scaled so that the largest is 100.

```
K14Hg6O3
1.0
12.7026 0.0000 0.0000
-6.3513 11.0007 0.0000
0.0000 0.0000 7.3923
K Hg O
14 6 3
Cartesian
0.0000 0.0000 0.0000 K
-4.9520 9.1978 4.1046 K
0.8618 2.1133 4.1046 K
-0.3123 5.0560 0.0609 K
-1.8165 8.7432 0.0609 K
0.0000 7.3338 3.2792 K
4.7089 2.2449 6.1809 K
4.1914 3.9316 1.8095 K
2.1288 8.2023 0.0609 K
7.2020 1.6640 1.8095 K
5.9410 5.8003 6.1809 K
8.4040 2.9556 6.1809 K
4.0902 10.6904 4.1046 K
7.6605 5.4051 1.8095 K
-3.1177 6.0353 4.9564 Hg
4.3457 0.1285 3.1649 Hg
2.6834 5.2830 4.9564 Hg
0.4343 10.6831 4.9564 Hg
4.2897 7.1730 3.1649 Hg
10.4184 3.6992 3.1649 Hg
0.0000 0.0000 4.9756 O
0.0000 7.3338 0.8301 O
6.3513 3.6669 0.2993 O
```

Main lines, by intensity (10° ≤ 2θ ≤ 90°):
- 2θ = 18.42°, I = 100
- 2θ = 11.97°, I = 67
- 2θ = 20.12°, I = 65
- 2θ = 30.64°, I = 61
- 2θ = 27.15°, I = 57
- 2θ = 27.93°, I = 54
- 2θ = 16.11°, I = 51
- 2θ = 13.94°, I = 45
- 2θ = 39.47°, I = 37
- 2θ = 24.56°, I = 37

No. 5
TlPd3O6: computed powder X-ray diffraction pattern (λ = 1.5418 Å (Cu Kα)), based on a structure optimized by DFT (PBE).
Intensities are scaled so that the largest is 100.

```
TlPd3O6
1.0
3.6133 -5.1399 0.0000
3.6133 5.1399 0.0000
0.0000 0.0000 3.3650
Tl Pd O
1 3 6
Cartesian
0.0000 0.0000 0.0000 Tl
1.8066 2.5700 1.6825 Pd
1.8066 -2.5700 1.6825 Pd
3.6133 0.0000 0.0000 Pd
3.6133 3.4866 1.6825 O
2.1398 1.3392 0.0000 O
2.1398 -1.3392 0.0000 O
5.0867 1.3392 0.0000 O
5.0867 -1.3392 0.0000 O
3.6133 -3.4866 1.6825 O
```

Main lines, by intensity (10° ≤ 2θ ≤ 90°):
- 2θ = 30.24°, I = 100
- 2θ = 31.78°, I = 95
- 2θ = 51.39°, I = 60
- 2θ = 36.49°, I = 44
- 2θ = 60.93°, I = 29
- 2θ = 34.91°, I = 25
- 2θ = 63.64°, I = 24
- 2θ = 85.17°, I = 22
- 2θ = 14.99°, I = 17
- 2θ = 59.73°, I = 16

No. 6
Pm4Sm9Hg11: computed powder X-ray diffraction pattern (λ = 1.5418 Å (Cu Kα)), based on a structure optimized by DFT (PBE).
Intensities are scaled so that the largest is 100.

```
Pm4Sm9Hg11
1.0
7.9831 -11.4757 0.0000
7.9831 11.4757 0.0000
0.0000 0.0000 3.6336
Pm Sm Hg
4 9 11
Cartesian
2.5438 1.9887 0.0000 Pm
2.5438 -1.9887 0.0000 Pm
13.4223 1.9887 0.0000 Pm
13.4223 -1.9887 0.0000 Pm
0.0000 0.0000 0.0000 Sm
6.1285 6.0787 0.0000 Sm
6.1495 2.0795 0.0000 Sm
9.8376 6.0787 0.0000 Sm
6.1495 -2.0795 0.0000 Sm
9.8167 2.0795 0.0000 Sm
6.1285 -6.0787 0.0000 Sm
9.8167 -2.0795 0.0000 Sm
9.8376 -6.0787 0.0000 Sm
4.2843 4.1060 1.8168 Hg
7.9831 8.4327 1.8168 Hg
4.3958 0.0000 1.8168 Hg
7.9831 4.0858 1.8168 Hg
4.2843 -4.1060 1.8168 Hg
7.9831 0.0000 1.8168 Hg
11.6819 4.1060 1.8168 Hg
7.9831 -4.0858 1.8168 Hg
11.5704 0.0000 1.8168 Hg
7.9831 -8.4327 1.8168 Hg
11.6819 -4.1060 1.8168 Hg
```

Main lines, by intensity (10° ≤ 2θ ≤ 90°):
- 2θ = 33.35°, I = 100
- 2θ = 32.42°, I = 95
- 2θ = 34.03°, I = 88
- 2θ = 34.21°, I = 39
- 2θ = 31.91°, I = 34
- 2θ = 61.05°, I = 31
- 2θ = 61.58°, I = 31
- 2θ = 58.64°, I = 30
- 2θ = 50.22°, I = 23
- 2θ = 37.71°, I = 20